1.
This entry pairs a crystal structure of CaAl4Ir2Rh with its theoretical powder XRD pattern. Radiation: copper Kα. Structure: a cell relaxed with PBE.
Neutral-atom scattering factors, no anomalous dispersion.

Cell and atoms:
```
CaAl4Ir2Rh
1.0
2.117 1.223 8.732
-2.117 1.223 8.732
0.000 -2.445 8.732
Ca Al Ir Rh
1 4 2 1
direct
0.000 0.000 0.000
0.133 0.133 0.133
0.406 0.406 0.406
0.594 0.594 0.594
0.867 0.867 0.867
0.236 0.236 0.236
0.764 0.764 0.764
0.500 0.500 0.500
```

Peak list (12 most intense, 10° ≤ 2θ ≤ 90°, sorted by position)
two_theta	I (rel.)
10.1	75
20.3	19
25.2	32
27.9	100
36.8	69
42.7	76
45.4	36
51.8	26
57.6	19
61.0	14
69.3	18
74.3	17


2.
This entry pairs a crystal structure of LiGe3As with its theoretical powder XRD pattern. Radiation: copper Kα. Structure: a cell relaxed with PBE.
Neutral-atom scattering factors, no anomalous dispersion.

Cell and atoms:
```
LiGe3As
1.0
4.619 0.000 0.000
0.000 4.619 0.000
0.000 0.000 4.619
Li Ge As
1 3 1
direct
0.000 0.000 0.000
0.000 0.000 0.500
0.000 0.500 0.000
0.500 0.000 0.000
0.500 0.500 0.500
```

Peak list (6 most intense, 10° ≤ 2θ ≤ 90°, sorted by position)
two_theta	I (rel.)
33.6	100
39.0	53
56.3	36
67.2	39
70.6	12
83.8	6


3.
This entry pairs a crystal structure of Ga3Pd6Pt with its theoretical powder XRD pattern. Radiation: copper Kα. Structure: a cell relaxed with PBE.
Neutral-atom scattering factors, no anomalous dispersion.

Cell and atoms:
```
Ga3Pd6Pt
1.0
7.601 0.000 0.000
0.000 4.086 0.000
-0.233 0.000 10.324
Ga Pd Pt
6 12 2
direct
0.115 0.250 0.161
0.258 0.750 0.517
0.379 0.250 0.855
0.621 0.750 0.145
0.742 0.250 0.483
0.885 0.750 0.839
0.062 0.250 0.915
0.088 0.250 0.433
0.196 0.750 0.749
0.226 0.750 0.279
0.318 0.750 0.015
0.432 0.250 0.599
0.568 0.750 0.401
0.682 0.250 0.985
0.774 0.250 0.721
0.804 0.250 0.251
0.912 0.750 0.567
0.938 0.750 0.085
0.445 0.250 0.202
0.555 0.750 0.798
```

Peak list (12 most intense, 10° ≤ 2θ ≤ 90°, sorted by position)
two_theta	I (rel.)
30.1	18
30.4	13
34.1	15
35.6	15
35.9	35
36.4	16
37.0	25
41.4	36
41.9	100
43.4	35
44.3	55
80.0	13


4.
This entry pairs a crystal structure of Zr3Fe3C with its theoretical powder XRD pattern. Radiation: copper Kα. Structure: a cell relaxed with PBE.
Neutral-atom scattering factors, no anomalous dispersion.

Cell and atoms:
```
Zr3Fe3C
1.0
0.000 5.979 5.979
5.979 0.000 5.979
5.979 5.979 0.000
Zr Fe C
12 12 4
direct
0.073 0.073 0.677
0.073 0.677 0.073
0.073 0.677 0.677
0.323 0.323 0.927
0.323 0.927 0.323
0.323 0.927 0.927
0.677 0.073 0.073
0.677 0.073 0.677
0.677 0.677 0.073
0.927 0.323 0.323
0.927 0.323 0.927
0.927 0.927 0.323
0.000 0.500 0.500
0.300 0.300 0.300
0.300 0.300 0.601
0.300 0.601 0.300
0.399 0.700 0.700
0.500 0.000 0.500
0.500 0.500 0.000
0.500 0.500 0.500
0.601 0.300 0.300
0.700 0.399 0.700
0.700 0.700 0.399
0.700 0.700 0.700
0.000 0.000 0.000
0.000 0.000 0.500
0.000 0.500 0.000
0.500 0.000 0.000
```

Peak list (12 most intense, 10° ≤ 2θ ≤ 90°, sorted by position)
two_theta	I (rel.)
29.9	10
32.6	19
36.8	42
39.1	100
42.8	35
45.5	9
50.6	7
54.8	9
63.7	12
66.3	39
67.9	9
79.8	17


5.
This entry pairs a crystal structure of Cd3Pt with its theoretical powder XRD pattern. Radiation: copper Kα. Structure: a cell relaxed with PBE.
Neutral-atom scattering factors, no anomalous dispersion.

Cell and atoms:
```
Cd3Pt
1.0
3.078 0.000 0.000
-1.539 2.666 0.000
0.000 0.000 9.640
Cd Pt
3 1
direct
0.000 0.000 0.000
0.667 0.333 0.270
0.667 0.333 0.730
0.000 0.000 0.500
```

Peak list (12 most intense, 10° ≤ 2θ ≤ 90°, sorted by position)
two_theta	I (rel.)
18.4	3
33.6	26
37.3	22
38.6	100
44.1	6
51.1	15
60.1	18
68.1	15
72.9	18
73.7	14
82.7	4
89.2	3


6.
This entry pairs a crystal structure of Mg2H3Ir4 with its theoretical powder XRD pattern. Radiation: copper Kα. Structure: a cell relaxed with PBE.
Neutral-atom scattering factors, no anomalous dispersion.

Cell and atoms:
```
Mg2H3Ir4
1.0
2.837 0.000 0.000
-0.001 4.623 0.000
-1.415 -2.013 8.239
Mg H Ir
2 3 4
direct
0.000 0.000 0.000
0.232 0.082 0.458
0.572 0.771 0.142
0.636 0.340 0.270
0.989 0.478 0.979
0.096 0.578 0.191
0.364 0.861 0.725
0.735 0.570 0.467
0.877 0.369 0.749
```

Peak list (12 most intense, 10° ≤ 2θ ≤ 90°, sorted by position)
two_theta	I (rel.)
10.7	100
19.8	70
20.1	31
21.6	45
32.6	37
37.2	52
38.6	40
39.0	39
43.0	79
43.8	90
44.0	39
44.3	30